1.
Structure and simulated powder X-ray diffraction pattern of NpTe4 (a DFT-relaxed cell (GGA-PBE, Alexandria); Cu Kα).

Cell and atoms:
abc: 5.8171 5.8171 5.8171
angles: 90.00 90.00 90.00
Element x y z (fractional)
1 Np 0.0000 0.0000 0.0000
2 Te 0.0000 0.0000 0.5000
3 Te 0.0000 0.5000 0.0000
4 Te 0.5000 0.0000 0.0000
5 Te 0.5000 0.5000 0.5000

Largest 10 diffraction maxima, sorted by position, 2θ = 10–90°:
two_theta	Rel. int.
15.23	52
21.60	47
26.54	27
30.74	100
34.48	30
37.89	23
44.03	75
54.66	26
72.70	34
80.97	25

---

2.
Structure and simulated powder X-ray diffraction pattern of TlRh3F9 (a DFT-relaxed cell (GGA-PBE, Alexandria); Cu Kα).

Cell and atoms:
abc: 5.8551 7.9986 8.5107
angles: 90.00 95.47 90.00
Element x y z (fractional)
1 Tl 0.0230 0.2500 0.4085
2 Tl 0.9770 0.7500 0.5915
3 Rh 0.0000 0.0000 0.0000
4 Rh 0.0000 0.5000 0.0000
5 Rh 0.4735 0.0048 0.6903
6 Rh 0.4735 0.4952 0.6903
7 Rh 0.5265 0.5048 0.3097
8 Rh 0.5265 0.9952 0.3097
9 F 0.0854 0.2500 0.0246
10 F 0.1748 0.5203 0.8015
11 F 0.1748 0.9797 0.8015
12 F 0.2826 0.5354 0.4714
13 F 0.2826 0.9646 0.4714
14 F 0.3144 0.5595 0.1148
15 F 0.3144 0.9405 0.1148
16 F 0.3824 0.2500 0.6602
17 F 0.4476 0.2500 0.2930
18 F 0.5524 0.7500 0.7070
19 F 0.6176 0.7500 0.3398
20 F 0.6856 0.0595 0.8852
21 F 0.6856 0.4405 0.8852
22 F 0.7174 0.0354 0.5286
23 F 0.7174 0.4646 0.5286
24 F 0.8252 0.0203 0.1985
25 F 0.8252 0.4797 0.1985
26 F 0.9146 0.7500 0.9754

Largest 10 diffraction maxima, sorted by position, 2θ = 10–90°:
two_theta	Rel. int.
10.44	64
15.23	42
24.62	41
24.78	76
27.04	72
27.19	80
28.51	56
29.59	100
30.69	70
45.35	44

---

3.
Structure and simulated powder X-ray diffraction pattern of InPdSe3 (a DFT-relaxed cell (GGA-PBE, Alexandria); Cu Kα).

Cell and atoms:
abc: 7.1456 7.1456 7.1456
angles: 56.52 56.52 56.52
Element x y z (fractional)
1 In 0.1277 0.1277 0.1277
2 In 0.8723 0.8723 0.8723
3 Pd 0.3415 0.3415 0.3415
4 Pd 0.6585 0.6585 0.6585
5 Se 0.0613 0.7126 0.4706
6 Se 0.2874 0.5294 0.9387
7 Se 0.4706 0.0613 0.7126
8 Se 0.5294 0.9387 0.2874
9 Se 0.7126 0.4706 0.0613
10 Se 0.9387 0.2874 0.5294

Largest 10 diffraction maxima, sorted by position, 2θ = 10–90°:
two_theta	Rel. int.
18.08	34
24.99	57
26.34	27
30.35	100
36.63	51
39.71	18
40.24	65
45.68	42
46.49	68
53.33	43

---

4.
Structure and simulated powder X-ray diffraction pattern of TiZn4Pd7 (a DFT-relaxed cell (GGA-PBE, Alexandria); Cu Kα).

Cell and atoms:
abc: 6.3084 6.3084 8.9737
angles: 123.27 123.27 42.74
Element x y z (fractional)
1 Ti 0.0000 0.0000 0.0000
2 Zn 0.2889 0.2889 0.6596
3 Zn 0.4266 0.4266 0.2202
4 Zn 0.5734 0.5734 0.7798
5 Zn 0.7111 0.7111 0.3404
6 Pd 0.0682 0.0682 0.3250
7 Pd 0.2180 0.2180 0.8774
8 Pd 0.3477 0.3477 0.4220
9 Pd 0.5000 0.5000 0.0000
10 Pd 0.6523 0.6523 0.5780
11 Pd 0.7820 0.7820 0.1226
12 Pd 0.9318 0.9318 0.6750

Largest 10 diffraction maxima, sorted by position, 2θ = 10–90°:
two_theta	Rel. int.
28.26	48
32.03	28
33.93	20
39.19	77
41.56	49
42.15	100
44.29	74
51.50	20
58.44	34
73.05	19

---

- What is the formula in the fourth record?
  TiZn4Pd7